Cs2Rb2Cl2O: calculated powder diffractogram (a wavelength of 1.5418 Å), based on a structure optimized by DFT (GGA-PBE).

Peak list (10 most intense, 15 to 90 degrees two-theta, most intense first)
d [Å], 2θ/deg, intensity
3.322, 26.83, 100.0
2.878, 31.08, 56.9
3.504, 25.42, 43.5
2.899, 30.84, 31.0
3.429, 25.99, 25.3
2.116, 42.73, 22.9
2.485, 36.15, 21.5
2.234, 40.38, 19.6
1.883, 48.33, 17.9
2.665, 33.63, 16.8

a = 8.625 Å, b = 8.625 Å, c = 7.832 Å
α = 115.55°, β = 115.55°, γ = 30.02°
Element x y z (fractional)
Cs  0.014  0.014  0.262
Cs  0.986  0.986  0.738
Rb  0.319  0.319  0.278
Rb  0.681  0.681  0.722
Cl  0.338  0.338  0.863
Cl  0.662  0.662  0.137
O  0.500  0.500  0.500



CsReCl4O2: calculated powder diffractogram (a wavelength of 1.5418 Å), based on a structure optimized by DFT (GGA-PBE).

Peak list (10 most intense, 15 to 90 degrees two-theta, most intense first)
d [Å], 2θ/deg, intensity
4.127, 21.53, 100.0
5.835, 15.18, 50.9
4.709, 18.84, 43.0
5.568, 15.92, 30.2
3.177, 28.09, 29.3
2.433, 36.95, 21.0
2.808, 31.87, 20.8
3.274, 27.24, 19.3
5.071, 17.49, 18.8
4.030, 22.05, 17.7

a = 6.862 Å, b = 11.136 Å, c = 12.303 Å
α = 90.00°, β = 93.29°, γ = 90.00°
Element x y z (fractional)
Cs  0.177  0.111  0.351
Cs  0.177  0.389  0.851
Cs  0.823  0.611  0.149
Cs  0.823  0.889  0.649
Re  0.294  0.699  0.444
Re  0.294  0.801  0.944
Re  0.706  0.199  0.056
Re  0.706  0.301  0.556
Cl  0.013  0.195  0.623
Cl  0.013  0.305  0.123
Cl  0.102  0.622  0.577
Cl  0.102  0.878  0.077
Cl  0.314  0.617  0.062
Cl  0.314  0.883  0.562
Cl  0.446  0.682  0.818
Cl  0.446  0.818  0.318
Cl  0.554  0.182  0.682
Cl  0.554  0.318  0.182
Cl  0.686  0.117  0.438
Cl  0.686  0.383  0.938
Cl  0.898  0.122  0.923
Cl  0.898  0.378  0.423
Cl  0.987  0.695  0.877
Cl  0.987  0.805  0.377
O  0.235  0.586  0.351
O  0.235  0.914  0.851
O  0.489  0.152  0.992
O  0.489  0.348  0.492
O  0.511  0.652  0.508
O  0.511  0.848  0.008
O  0.765  0.086  0.149
O  0.765  0.414  0.649



Cs2RhCl5O: calculated powder diffractogram (a wavelength of 1.5418 Å), based on a structure optimized by DFT (GGA-PBE).

Peak list (10 most intense, 15 to 90 degrees two-theta, most intense first)
d [Å], 2θ/deg, intensity
2.785, 32.13, 100.0
4.022, 22.10, 87.7
4.367, 20.33, 41.2
4.531, 19.59, 39.7
2.757, 32.47, 34.1
3.144, 28.39, 30.8
3.085, 28.94, 26.5
1.788, 51.09, 24.0
2.193, 41.15, 22.9
2.182, 41.38, 21.2

a = 9.437 Å, b = 9.437 Å, c = 8.735 Å
α = 90.00°, β = 90.00°, γ = 134.92°
Element x y z (fractional)
Cs  0.029  0.971  0.750
Cs  0.269  0.731  0.250
Cs  0.731  0.269  0.750
Cs  0.971  0.029  0.250
Rh  0.386  0.614  0.750
Rh  0.614  0.386  0.250
Cl  0.148  0.385  0.558
Cl  0.148  0.385  0.942
Cl  0.248  0.752  0.750
Cl  0.385  0.148  0.058
Cl  0.385  0.148  0.442
Cl  0.615  0.852  0.558
Cl  0.615  0.852  0.942
Cl  0.752  0.248  0.250
Cl  0.852  0.615  0.058
Cl  0.852  0.615  0.442
O  0.489  0.511  0.750
O  0.511  0.489  0.250